This entry pairs a crystal structure of Ce3Cd2 with its calculated powder diffraction line list. Radiation: Cu Kα. Structure: a DFT-relaxed cell (GGA-PBE, Alexandria).

Principal peaks in the range 2θ from 10° to 80°, by angle:
32.70 deg, intensity 100, (1 1 0); 33.26 deg, intensity 88, (0 1 5); 36.33 deg, intensity 38, (0 2 0); 39.20 deg, intensity 56, (1 0 5); 54.51 deg, intensity 42, (1 2 5); 63.08 deg, intensity 15, (1 3 0); 63.42 deg, intensity 13, (0 3 5); 66.63 deg, intensity 23, (2 1 5); 67.62 deg, intensity 17, (1 1 10); 68.53 deg, intensity 11, (2 2 0)

Lattice parameters (Å, degrees): 3.2889 4.9458 16.0610 90.00 90.00 90.00
Space group Immm (No. 71)
Symmetry-distinct sites (fractional):
1 Ce 0.0000 0.0000 0.0000 (multiplicity 2)
2 Ce 0.0000 0.0000 0.1865 (multiplicity 4)
3 Cd 0.0000 0.0000 0.4019 (multiplicity 4)